For TbPm5ErSc2, a structure optimized by DFT (GGA-PBE) gives the calculated powder diffractogram in this record (a wavelength of 1.5418 Å).

Most intense lines, 2θ = 5–70°, in order of rising 2θ:
hkl 0 2 1, 12.19 deg, intensity 9.6
hkl 1 1 0, 16.58 deg, intensity 7.3
hkl 0 6 1, 27.62 deg, intensity 11.2
hkl 1 1 3, 30.88 deg, intensity 26.8
hkl 2 0 0, 32.30 deg, intensity 100.0
hkl 0 0 4, 34.72 deg, intensity 10.4
hkl 1 7 1, 35.88 deg, intensity 11.4
hkl 2 6 1, 43.01 deg, intensity 6.8
hkl 2 0 4, 48.16 deg, intensity 7.0
hkl 0 6 5, 51.77 deg, intensity 6.6
hkl 3 5 2, 57.61 deg, intensity 16.8
hkl 2 6 5, 62.35 deg, intensity 7.3

Structure:
```
data_TbPm5ErSc2
_chemical_formula_sum 'Tb4 Pm20 Er4 Sc8'
_cell_length_a 5.5418
_cell_length_b 20.3966
_cell_length_c 10.3329
_cell_angle_alpha 90.00
_cell_angle_beta 90.00
_cell_angle_gamma 90.00
_space_group_name_H-M_alt 'C m c 21'
_space_group_IT_number 36
loop_
_space_group_symop_operation_xyz
'x,y,z'
'-x,-y,z+1/2'
'-x,y,z'
'x,-y,z+1/2'
'x+1/2,y+1/2,z'
'-x+1/2,-y+1/2,z+1/2'
'-x+1/2,y+1/2,z'
'x+1/2,-y+1/2,z+1/2'
loop_
_atom_site_label
_atom_site_type_symbol
_atom_site_fract_x
_atom_site_fract_y
_atom_site_fract_z
_atom_site_occupancy
Tb1 Tb 0.0000 0.1912 0.0000 1
Pm1 Pm 0.0000 0.0113 0.9967 1
Pm2 Pm 0.0000 0.2725 0.3039 1
Pm3 Pm 0.0000 0.3016 0.6947 1
Pm4 Pm 0.0000 0.3816 0.0079 1
Pm5 Pm 0.0000 0.4802 0.7257 1
Er1 Er 0.0000 0.4062 0.4330 1
Sc1 Sc 0.0000 0.1114 0.2883 1
Sc2 Sc 0.0000 0.1150 0.7239 1
```



For Y4Ga2O9, a structure optimized by DFT (GGA-PBE) gives the calculated powder diffractogram in this record (a wavelength of 1.5418 Å).

Most intense lines, 2θ = 5–70°, in order of rising 2θ:
hkl 0 1 3, 25.92 deg, intensity 19.0
hkl 2 2 -1, 29.24 deg, intensity 100.0
hkl 0 2 3, 29.75 deg, intensity 65.3
hkl 0 3 2, 29.97 deg, intensity 14.8
hkl 2 0 2, 34.24 deg, intensity 14.5
hkl 2 0 -4, 34.81 deg, intensity 15.5
hkl 0 3 3, 35.30 deg, intensity 12.2
hkl 2 4 2, 48.67 deg, intensity 17.8
hkl 4 0 -2, 48.97 deg, intensity 17.6
hkl 2 4 -4, 49.10 deg, intensity 16.5
hkl 4 2 1, 57.96 deg, intensity 10.4
hkl 4 2 -5, 58.73 deg, intensity 10.7

Structure:
```
data_Y4Ga2O9
_chemical_formula_sum 'Y16 Ga8 O36'
_cell_length_a 7.4418
_cell_length_b 10.6946
_cell_length_c 11.4514
_cell_angle_alpha 90.00
_cell_angle_beta 108.04
_cell_angle_gamma 90.00
_space_group_name_H-M_alt 'P 1 21/c 1'
_space_group_IT_number 14
loop_
_space_group_symop_operation_xyz
'x,y,z'
'-x,-y,-z'
'-x,y+1/2,-z+1/2'
'x,-y+1/2,z+1/2'
loop_
_atom_site_label
_atom_site_type_symbol
_atom_site_fract_x
_atom_site_fract_y
_atom_site_fract_z
_atom_site_occupancy
Y1 Y 0.0197 0.1020 0.3001 1
Y2 Y 0.1616 0.6193 0.5833 1
Y3 Y 0.3423 0.1258 0.9392 1
Y4 Y 0.4798 0.6154 0.2199 1
Ga1 Ga 0.2091 0.1717 0.6246 1
Ga2 Ga 0.3432 0.6685 0.8920 1
O1 O 0.0675 0.2337 0.4750 1
O2 O 0.0780 0.5080 0.3943 1
O3 O 0.2082 0.7451 0.2512 1
O4 O 0.2124 0.0046 0.6543 1
O5 O 0.2326 0.2443 0.2718 1
O6 O 0.3046 0.5051 0.8417 1
O7 O 0.3672 0.7336 0.0452 1
O8 O 0.4313 0.2456 0.6122 1
O9 O 0.4351 0.5076 0.6080 1
```



For Rb2ErUSe4, a structure optimized by DFT (GGA-PBE) gives the calculated powder diffractogram in this record (a wavelength of 1.5418 Å).

Most intense lines, 2θ = 5–70°, in order of rising 2θ:
hkl 0 0 1, 11.03 deg, intensity 41.3
hkl 0 0 2, 22.16 deg, intensity 8.6
hkl 2 0 0, 25.36 deg, intensity 11.5
hkl 1 1 1, 28.48 deg, intensity 100.0
hkl 1 1 2, 35.78 deg, intensity 14.9
hkl 1 1 -3, 38.70 deg, intensity 35.3
hkl 0 2 0, 42.65 deg, intensity 35.8
hkl 3 1 0, 44.19 deg, intensity 8.9
hkl 1 1 -4, 48.44 deg, intensity 8.7
hkl 2 2 -2, 52.09 deg, intensity 18.5
hkl 2 2 2, 58.94 deg, intensity 10.3
hkl 1 3 1, 69.52 deg, intensity 15.8

Structure:
```
data_Rb2ErUSe4
_chemical_formula_sum 'Rb2 Er1 U1 Se4'
_cell_length_a 7.3487
_cell_length_b 4.2365
_cell_length_c 8.3848
_cell_angle_alpha 90.00
_cell_angle_beta 106.94
_cell_angle_gamma 90.00
_space_group_name_H-M_alt 'P 1 2/m 1'
_space_group_IT_number 10
loop_
_space_group_symop_operation_xyz
'x,y,z'
'-x,-y,-z'
'-x,y,-z'
'x,-y,z'
loop_
_atom_site_label
_atom_site_type_symbol
_atom_site_fract_x
_atom_site_fract_y
_atom_site_fract_z
_atom_site_occupancy
Rb1 Rb 0.0000 0.0000 0.0000 1
Rb2 Rb 0.5000 0.5000 0.0000 1
Er1 Er 0.0000 0.5000 0.5000 1
U1 U 0.5000 0.0000 0.5000 1
Se1 Se 0.2274 0.0000 0.6954 1
Se2 Se 0.2634 0.5000 0.3028 1
```



For Dy5In2Hg, a structure optimized by DFT (GGA-PBE) gives the calculated powder diffractogram in this record (a wavelength of 1.5418 Å).

Most intense lines, 2θ = 5–70°, in order of rising 2θ:
hkl 1 1 0, 18.08 deg, intensity 2.0
hkl 1 1 2, 26.79 deg, intensity 1.7
hkl 2 0 2, 32.51 deg, intensity 100.0
hkl 2 2 0, 36.63 deg, intensity 36.3
hkl 0 0 4, 39.80 deg, intensity 14.4
hkl 3 1 0, 41.13 deg, intensity 0.6
hkl 3 1 2, 45.95 deg, intensity 0.9
hkl 4 0 0, 52.77 deg, intensity 12.7
hkl 2 2 4, 55.20 deg, intensity 22.3
hkl 4 2 2, 63.36 deg, intensity 29.3
hkl 2 0 6, 67.68 deg, intensity 12.0
hkl 4 0 4, 68.08 deg, intensity 11.8

Structure:
```
data_Dy5In2Hg
_chemical_formula_sum 'Dy10 In4 Hg2'
_cell_length_a 6.9395
_cell_length_b 6.9395
_cell_length_c 9.0584
_cell_angle_alpha 90.00
_cell_angle_beta 90.00
_cell_angle_gamma 90.00
_space_group_name_H-M_alt 'I 4 m m'
_space_group_IT_number 107
_space_group_name_Hall 'I 4 -2'
loop_
_atom_site_label
_atom_site_type_symbol
_atom_site_fract_x
_atom_site_fract_y
_atom_site_fract_z
_atom_site_occupancy
Dy1 Dy 0.0000 0.0000 0.0000 1
Dy2 Dy 0.2499 0.2499 0.2501 1
In1 In 0.0000 0.5000 0.0001 1
Hg1 Hg 0.0000 0.0000 0.5007 1
```



For TbSm6In4, a structure optimized by DFT (GGA-PBE) gives the calculated powder diffractogram in this record (a wavelength of 1.5418 Å).

Most intense lines, 2θ = 5–70°, in order of rising 2θ:
hkl 2 1 1, 26.44 deg, intensity 39.3
hkl 2 0 2, 27.17 deg, intensity 63.6
hkl 0 0 4, 29.96 deg, intensity 17.2
hkl 2 2 0, 32.22 deg, intensity 30.7
hkl 1 1 4, 34.07 deg, intensity 100.0
hkl 3 0 1, 35.07 deg, intensity 32.2
hkl 3 1 0, 36.14 deg, intensity 21.5
hkl 2 2 4, 44.57 deg, intensity 26.1
hkl 4 1 1, 48.36 deg, intensity 13.5
hkl 2 0 6, 51.51 deg, intensity 13.1
hkl 4 1 3, 53.30 deg, intensity 24.7
hkl 4 2 4, 61.22 deg, intensity 15.9

Structure:
```
data_TbSm6In4
_chemical_formula_sum 'Tb2 Sm12 In8'
_cell_length_a 7.8591
_cell_length_b 7.8591
_cell_length_c 11.9302
_cell_angle_alpha 90.00
_cell_angle_beta 90.00
_cell_angle_gamma 90.00
_space_group_name_H-M_alt 'I -4 2 m'
_space_group_IT_number 121
_space_group_name_Hall 'I -4 2'
loop_
_atom_site_label
_atom_site_type_symbol
_atom_site_fract_x
_atom_site_fract_y
_atom_site_fract_z
_atom_site_occupancy
Tb1 Tb 0.0000 0.0000 0.0000 1
Sm1 Sm 0.0000 0.5000 0.0000 1
Sm2 Sm 0.1881 0.1881 0.2825 1
In1 In 0.1630 0.1630 0.5658 1
```



For CeYBiO2, a structure optimized by DFT (GGA-PBE) gives the calculated powder diffractogram in this record (a wavelength of 1.5418 Å).

Most intense lines, 2θ = 5–70°, in order of rising 2θ:
hkl 0 0 2, 13.42 deg, intensity 4.2
hkl 1 0 1, 23.39 deg, intensity 8.8
hkl 1 0 3, 30.32 deg, intensity 100.0
hkl 1 1 0, 31.87 deg, intensity 37.4
hkl 1 1 2, 34.72 deg, intensity 7.4
hkl 0 0 6, 41.04 deg, intensity 13.0
hkl 2 0 0, 45.69 deg, intensity 18.7
hkl 1 1 6, 52.87 deg, intensity 23.9
hkl 2 1 3, 55.82 deg, intensity 36.8
hkl 2 0 6, 63.07 deg, intensity 13.2
hkl 2 2 0, 66.60 deg, intensity 6.0
hkl 1 0 9, 68.17 deg, intensity 9.7

Structure:
```
data_CeYBiO2
_chemical_formula_sum 'Ce2 Y2 Bi2 O4'
_cell_length_a 3.9716
_cell_length_b 3.9716
_cell_length_c 13.1973
_cell_angle_alpha 90.00
_cell_angle_beta 90.00
_cell_angle_gamma 90.00
_space_group_name_H-M_alt 'I 4 m m'
_space_group_IT_number 107
_space_group_name_Hall 'I 4 -2'
loop_
_atom_site_label
_atom_site_type_symbol
_atom_site_fract_x
_atom_site_fract_y
_atom_site_fract_z
_atom_site_occupancy
Ce1 Ce 0.0000 0.0000 0.0000 1
Y1 Y 0.0000 0.0000 0.3256 1
Bi1 Bi 0.0000 0.0000 0.6639 1
O1 O 0.0000 0.5000 0.4111 1
```